(1)
This entry pairs a crystal structure of DyLu6 with its simulated powder XRD pattern. Radiation: a wavelength of 1.5418 Å. Structure: a crystal structure in Alexandria, relaxed with GGA-PBE.
Peak positions follow from Bragg's law for the DFT cell and can differ from measured ones.

Peak list (10 most intense, 10 to 80 degrees two-theta, in order of rising 2θ)
Position (°2θ)  Rel. int.
15.50  25
21.99  41
27.02  100
38.58  39
41.81  63
44.85  36
50.49  18
62.98  19
65.30  24
72.02  19

Crystal structure
Cell: 7.001 7.001 7.001 Å, 109.47 109.47 109.47°
Atoms (fractional coordinates):
Dy1 0.000 0.000 0.000
Lu1 0.250 0.500 0.750
Lu2 0.250 0.750 0.500
Lu3 0.500 0.250 0.750
Lu4 0.500 0.750 0.250
Lu5 0.750 0.250 0.500
Lu6 0.750 0.500 0.250



(2)
This entry pairs a crystal structure of Dy3Lu with its simulated powder XRD pattern. Radiation: a wavelength of 1.5418 Å. Structure: a crystal structure in Alexandria, relaxed with GGA-PBE.
Peak positions follow from Bragg's law for the DFT cell and can differ from measured ones.

Peak list (6 most intense, 10 to 80 degrees two-theta, in order of rising 2θ)
Position (°2θ)  Rel. int.
31.19  100
36.17  51
52.09  36
61.97  43
65.06  12
76.77  6

Crystal structure
Cell: 6.084 6.084 6.084 Å, 131.83 131.83 70.49°
Atoms (fractional coordinates):
Dy1 0.000 0.000 0.000
Dy2 0.250 0.750 0.500
Dy3 0.750 0.250 0.500
Lu1 0.500 0.500 0.000



- Which formula does entry 2 have?
  Dy3Lu